For ScTi9N9, a GGA-PBE-relaxed structure gives the calculated powder X-ray diffraction pattern in this record (a wavelength of 1.5418 Å).
Lines closer than 0.1° are merged.

Structural model:
```
ScTi9N9
1.0
5.226 0.000 0.000
1.748 5.789 0.000
1.744 1.055 6.452
Sc Ti N
1 9 9
direct
0.000 0.000 0.000
0.000 0.500 0.000
0.185 0.296 0.602
0.192 0.808 0.606
0.393 0.604 0.190
0.396 0.101 0.206
0.604 0.899 0.794
0.607 0.396 0.810
0.808 0.192 0.394
0.815 0.704 0.398
0.097 0.401 0.301
0.102 0.898 0.307
0.307 0.205 0.896
0.307 0.693 0.898
0.500 0.000 0.500
0.693 0.307 0.102
0.693 0.795 0.104
0.898 0.102 0.693
0.903 0.599 0.699
```

Principal peaks in the range 2θ from 10° to 90°, by angle:
d_spacing, I_rel, hkl
4.667, 1, 0 1 1
2.467, 75, 0 2 -1
2.137, 100, 2 2 0
1.512, 28, 1 4 1
1.510, 28, 2 -2 2
1.290, 11, 2 4 -1
1.288, 11, 1 -4 0
1.287, 4, 3 -2 0
1.234, 13, 0 4 -2
1.232, 4, 4 0 2